(1)
For TeN2Cl6, a GGA-PBE-relaxed structure gives the theoretical powder diffractogram in this record (Cu Kα, 1.54184 Å).

Structural model:
```
data_TeN2Cl6
_chemical_formula_sum 'Te4 N8 Cl24'
_symmetry_space_group_name_H-M 'F m -3 m'
_symmetry_Int_Tables_number 225
_symmetry_space_group_name_Hall '-F 4 2 3'
_cell_length_a 10.503
_cell_length_b 10.503
_cell_length_c 10.503
_cell_angle_alpha 90.00
_cell_angle_beta 90.00
_cell_angle_gamma 90.00
loop_
_atom_site_label
_atom_site_fract_x
_atom_site_fract_y
_atom_site_fract_z
Te1 0.000 0.000 0.000
N1 0.250 0.250 0.250
Cl1 0.000 0.000 0.226
```

Principal peaks in the range 10° ≤ 2θ ≤ 80°, by angle:
14.61 deg, I = 100; 16.88 deg, I = 64; 23.96 deg, I = 13; 28.18 deg, I = 32; 34.15 deg, I = 46; 38.33 deg, I = 27; 44.84 deg, I = 25; 49.07 deg, I = 27; 51.47 deg, I = 21; 63.23 deg, I = 14

=====

(2)
For ThNCl, a GGA-PBE-relaxed structure gives the theoretical powder diffractogram in this record (Cu Kα, 1.54184 Å).

Structural model:
```
data_ThNCl
_chemical_formula_sum 'Th2 N2 Cl2'
_symmetry_space_group_name_H-M 'P 4/n m m'
_symmetry_Int_Tables_number 129
_cell_length_a 4.096
_cell_length_b 4.096
_cell_length_c 7.046
_cell_angle_alpha 90.00
_cell_angle_beta 90.00
_cell_angle_gamma 90.00
loop_
_symmetry_equiv_pos_as_xyz
'x,y,z'
'-x,-y,-z'
'-y+1/2,x,z'
'y+1/2,-x,-z'
'-x+1/2,-y+1/2,z'
'x+1/2,y+1/2,-z'
'y,-x+1/2,z'
'-y,x+1/2,-z'
'x+1/2,-y,-z'
'-x+1/2,y,z'
'-y,-x,-z'
'y,x,z'
'-x,y+1/2,-z'
'x,-y+1/2,z'
'y+1/2,x+1/2,-z'
'-y+1/2,-x+1/2,z'
loop_
_atom_site_label
_atom_site_fract_x
_atom_site_fract_y
_atom_site_fract_z
Th1 0.250 0.250 0.164
N1 0.250 0.750 0.000
Cl1 0.250 0.250 0.623
```

Principal peaks in the range 10° ≤ 2θ ≤ 80°, by angle:
12.56 deg, I = 46; 25.15 deg, I = 100; 30.88 deg, I = 67; 33.55 deg, I = 97; 40.31 deg, I = 15; 44.23 deg, I = 31; 50.00 deg, I = 27; 51.57 deg, I = 36; 56.64 deg, I = 43; 56.91 deg, I = 14

=====

(3)
For Th2NCl2, a GGA-PBE-relaxed structure gives the theoretical powder diffractogram in this record (Cu Kα, 1.54184 Å).

Structural model:
```
data_Th2NCl2
_chemical_formula_sum 'Th2 N1 Cl2'
_symmetry_space_group_name_H-M 'P 4/m m m'
_symmetry_Int_Tables_number 123
_symmetry_space_group_name_Hall '-P 4 2'
_cell_length_a 3.946
_cell_length_b 3.946
_cell_length_c 12.842
_cell_angle_alpha 90.00
_cell_angle_beta 90.00
_cell_angle_gamma 90.00
loop_
_atom_site_label
_atom_site_fract_x
_atom_site_fract_y
_atom_site_fract_z
Th1 0.000 0.000 0.162
N1 0.000 0.000 0.000
Cl1 0.000 0.000 0.362
```

Principal peaks in the range 10° ≤ 2θ ≤ 80°, by angle:
13.79 deg, I = 20; 20.75 deg, I = 27; 22.54 deg, I = 100; 23.59 deg, I = 25; 30.82 deg, I = 43; 32.08 deg, I = 41; 36.07 deg, I = 22; 38.52 deg, I = 24; 48.38 deg, I = 22; 51.81 deg, I = 21

=====

(4)
For TiN2Cl6, a GGA-PBE-relaxed structure gives the theoretical powder diffractogram in this record (Cu Kα, 1.54184 Å).

Structural model:
```
data_TiN2Cl6
_chemical_formula_sum 'Ti4 N8 Cl24'
_symmetry_space_group_name_H-M 'F m -3 m'
_symmetry_Int_Tables_number 225
_symmetry_space_group_name_Hall '-F 4 2 3'
_cell_length_a 9.671
_cell_length_b 9.671
_cell_length_c 9.671
_cell_angle_alpha 90.00
_cell_angle_beta 90.00
_cell_angle_gamma 90.00
loop_
_atom_site_label
_atom_site_fract_x
_atom_site_fract_y
_atom_site_fract_z
Ti1 0.000 0.000 0.000
N1 0.250 0.250 0.250
Cl1 0.000 0.000 0.242
```

Principal peaks in the range 10° ≤ 2θ ≤ 80°, by angle:
15.87 deg, I = 53; 18.35 deg, I = 69; 30.66 deg, I = 17; 32.06 deg, I = 96; 37.19 deg, I = 100; 41.77 deg, I = 28; 53.60 deg, I = 58; 57.14 deg, I = 13; 63.84 deg, I = 27; 67.04 deg, I = 18

=====

(5)
For TlNCl4, a GGA-PBE-relaxed structure gives the theoretical powder diffractogram in this record (Cu Kα, 1.54184 Å).

Structural model:
```
data_TlNCl4
_chemical_formula_sum 'Tl2 N2 Cl8'
_symmetry_space_group_name_H-M 'A m m 2'
_symmetry_Int_Tables_number 38
_cell_length_a 5.208
_cell_length_b 9.755
_cell_length_c 10.752
_cell_angle_alpha 90.00
_cell_angle_beta 90.00
_cell_angle_gamma 90.00
loop_
_symmetry_equiv_pos_as_xyz
'x,y,z'
'-x,-y,z'
'-x,y,z'
'x,-y,z'
'x,y+1/2,z+1/2'
'-x,-y+1/2,z+1/2'
'-x,y+1/2,z+1/2'
'x,-y+1/2,z+1/2'
loop_
_atom_site_label
_atom_site_fract_x
_atom_site_fract_y
_atom_site_fract_z
Tl1 0.000 0.000 0.000
N1 0.500 0.000 0.368
Cl1 0.000 0.226 0.083
Cl2 0.258 0.000 0.790
```

Principal peaks in the range 10° ≤ 2θ ≤ 80°, by angle:
12.25 deg, I = 100; 16.49 deg, I = 14; 17.03 deg, I = 32; 18.19 deg, I = 19; 21.03 deg, I = 56; 23.79 deg, I = 29; 30.11 deg, I = 15; 31.66 deg, I = 15; 42.12 deg, I = 12; 54.31 deg, I = 12

=====

(6)
For VNCl3, a GGA-PBE-relaxed structure gives the theoretical powder diffractogram in this record (Cu Kα, 1.54184 Å).

Structural model:
```
data_VNCl3
_chemical_formula_sum 'V2 N2 Cl6'
_symmetry_space_group_name_H-M 'P 63/m m c'
_symmetry_Int_Tables_number 194
_symmetry_space_group_name_Hall '-P 6c 2c'
_cell_length_a 7.3013
_cell_length_b 7.3013
_cell_length_c 5.9204
_cell_angle_alpha 90.00
_cell_angle_beta 90.00
_cell_angle_gamma 120.00
loop_
_atom_site_label
_atom_site_fract_x
_atom_site_fract_y
_atom_site_fract_z
V1 0.0000 0.0000 0.0000
N1 0.3333 0.6667 0.2500
Cl1 0.1473 0.2946 0.7500
```

Principal peaks in the range 10° ≤ 2θ ≤ 80°, by angle:
14.01 deg, I = 100; 24.38 deg, I = 5; 32.09 deg, I = 41; 39.18 deg, I = 11; 41.80 deg, I = 21; 48.99 deg, I = 10; 49.97 deg, I = 12; 53.36 deg, I = 5; 54.84 deg, I = 7; 64.21 deg, I = 6

=====

(7)
For WN2Cl6, a GGA-PBE-relaxed structure gives the theoretical powder diffractogram in this record (Cu Kα, 1.54184 Å).

Structural model:
```
data_WN2Cl6
_chemical_formula_sum 'W4 N8 Cl24'
_symmetry_space_group_name_H-M 'F m -3 m'
_symmetry_Int_Tables_number 225
_symmetry_space_group_name_Hall '-F 4 2 3'
_cell_length_a 10.335
_cell_length_b 10.335
_cell_length_c 10.335
_cell_angle_alpha 90.00
_cell_angle_beta 90.00
_cell_angle_gamma 90.00
loop_
_atom_site_label
_atom_site_fract_x
_atom_site_fract_y
_atom_site_fract_z
W1 0.000 0.000 0.000
N1 0.250 0.250 0.250
Cl1 0.000 0.000 0.223
```

Principal peaks in the range 10° ≤ 2θ ≤ 80°, by angle:
14.85 deg, I = 100; 17.16 deg, I = 60; 24.36 deg, I = 20; 28.65 deg, I = 38; 34.72 deg, I = 33; 38.97 deg, I = 26; 45.61 deg, I = 25; 49.92 deg, I = 20; 52.37 deg, I = 22; 64.37 deg, I = 14

=====

(8)
For W2NCl9, a GGA-PBE-relaxed structure gives the theoretical powder diffractogram in this record (Cu Kα, 1.54184 Å).

Structural model:
```
data_W2NCl9
_chemical_formula_sum 'W8 N4 Cl36'
_symmetry_space_group_name_H-M 'P 1 21/c 1'
_symmetry_Int_Tables_number 14
_cell_length_a 9.128
_cell_length_b 17.304
_cell_length_c 12.936
_cell_angle_alpha 90.00
_cell_angle_beta 134.83
_cell_angle_gamma 90.00
loop_
_symmetry_equiv_pos_as_xyz
'x,y,z'
'-x,-y,-z'
'-x,y+1/2,-z+1/2'
'x,-y+1/2,z+1/2'
loop_
_atom_site_label
_atom_site_fract_x
_atom_site_fract_y
_atom_site_fract_z
W1 0.182 0.093 0.041
W2 0.188 0.191 0.539
N1 0.183 0.194 0.041
Cl1 0.003 0.075 0.800
Cl2 0.006 0.198 0.295
Cl3 0.119 0.691 0.023
Cl4 0.141 0.576 0.531
Cl5 0.199 0.058 0.536
Cl6 0.342 0.074 0.278
Cl7 0.367 0.192 0.783
Cl8 0.487 0.069 0.109
Cl9 0.495 0.203 0.603
```

Principal peaks in the range 10° ≤ 2θ ≤ 80°, by angle:
10.93 deg, I = 22; 13.69 deg, I = 72; 14.61 deg, I = 100; 18.17 deg, I = 21; 19.36 deg, I = 26; 20.10 deg, I = 34; 22.75 deg, I = 33; 27.55 deg, I = 54; 30.84 deg, I = 25; 30.96 deg, I = 29